No. 1
Computed X-ray diffraction stick pattern of Ag3C2O6 for Cu Kα X-rays, from DFT lattice parameters and positions (PBE).
Kinematic intensities with the Lorentz-polarization factor, no thermal factor.

Cell and atoms:
```
data_Ag3C2O6
_cell_length_a 7.018
_cell_length_b 5.733
_cell_length_c 8.665
_cell_angle_alpha 90.00
_cell_angle_beta 90.30
_cell_angle_gamma 90.00
_symmetry_space_group_name_H-M 'C 1 2/m 1'
_symmetry_Int_Tables_number 12
loop_
_symmetry_equiv_pos_as_xyz
'x,y,z'
'-x,-y,-z'
'-x,y,-z'
'x,-y,z'
'x+1/2,y+1/2,z'
'-x+1/2,-y+1/2,-z'
'-x+1/2,y+1/2,-z'
'x+1/2,-y+1/2,z'
loop_
_atom_site_label
_atom_site_type_symbol
_atom_site_fract_x
_atom_site_fract_y
_atom_site_fract_z
_atom_site_occupancy
Ag1 Ag 0.000 0.000 0.000 1
Ag2 Ag 0.205 0.500 0.354 1
C1 C 0.216 0.000 0.259 1
O1 O 0.164 0.193 0.190 1
O2 O 0.187 0.500 0.616 1
```

Most intense lines, 2θ = 10–90°, in order of rising 2θ:
| two_theta | intensity |
| --- | --- |
| 22.53 | 100 |
| 27.37 | 59 |
| 28.75 | 68 |
| 31.20 | 33 |
| 42.00 | 33 |
| 44.53 | 30 |

=====

No. 2
Computed X-ray diffraction stick pattern of Pm2AgC2O7 for Cu Kα X-rays, from DFT lattice parameters and positions (PBE).
Kinematic intensities with the Lorentz-polarization factor, no thermal factor.

Cell and atoms:
```
data_Pm2AgC2O7
_cell_length_a 5.0392
_cell_length_b 5.0392
_cell_length_c 29.4360
_cell_angle_alpha 90.00
_cell_angle_beta 90.00
_cell_angle_gamma 120.00
_symmetry_space_group_name_H-M 'R -3 m'
_symmetry_Int_Tables_number 166
_symmetry_space_group_name_Hall '-R 3 2"'
loop_
_atom_site_label
_atom_site_type_symbol
_atom_site_fract_x
_atom_site_fract_y
_atom_site_fract_z
_atom_site_occupancy
Pm1 Pm 0.0000 0.0000 0.0708 1
Ag1 Ag 0.0000 0.0000 0.5000 1
C1 C 0.0000 0.0000 0.2500 1
O1 O 0.0000 0.0000 0.0000 1
O2 O 0.0365 0.5183 0.9167 1
```

Most intense lines, 2θ = 10–90°, in order of rising 2θ:
| two_theta | intensity |
| --- | --- |
| 18.08 | 52 |
| 21.24 | 100 |
| 25.41 | 61 |
| 29.50 | 89 |
| 35.63 | 69 |
| 46.91 | 40 |

=====

No. 3
Computed X-ray diffraction stick pattern of PmAgC2O8 for Cu Kα X-rays, from DFT lattice parameters and positions (PBE).
Kinematic intensities with the Lorentz-polarization factor, no thermal factor.

Cell and atoms:
```
data_PmAgC2O8
_cell_length_a 5.2729
_cell_length_b 5.2729
_cell_length_c 6.8052
_cell_angle_alpha 90.00
_cell_angle_beta 90.00
_cell_angle_gamma 120.00
_symmetry_space_group_name_H-M 'P -3 m 1'
_symmetry_Int_Tables_number 164
_symmetry_space_group_name_Hall '-P 3 2"'
loop_
_atom_site_label
_atom_site_type_symbol
_atom_site_fract_x
_atom_site_fract_y
_atom_site_fract_z
_atom_site_occupancy
Pm1 Pm 0.0000 0.0000 0.0000 1
Ag1 Ag 0.0000 0.0000 0.5000 1
C1 C 0.3333 0.6667 0.7112 1
O1 O 0.1902 0.3805 0.7748 1
O2 O 0.3333 0.6667 0.5096 1
```

Most intense lines, 2θ = 10–90°, in order of rising 2θ:
| two_theta | intensity |
| --- | --- |
| 19.44 | 100 |
| 32.82 | 66 |
| 34.00 | 39 |
| 43.42 | 42 |
| 47.99 | 30 |
| 53.06 | 20 |

=====

No. 4
Computed X-ray diffraction stick pattern of PmAg2C2O6 for Cu Kα X-rays, from DFT lattice parameters and positions (PBE).
Kinematic intensities with the Lorentz-polarization factor, no thermal factor.

Cell and atoms:
```
data_PmAg2C2O6
_cell_length_a 5.0013
_cell_length_b 5.0013
_cell_length_c 7.9093
_cell_angle_alpha 90.00
_cell_angle_beta 90.00
_cell_angle_gamma 120.00
_symmetry_space_group_name_H-M 'P -3'
_symmetry_Int_Tables_number 147
loop_
_symmetry_equiv_pos_as_xyz
'x,y,z'
'-x,-y,-z'
'-y,x-y,z'
'y,-x+y,-z'
'-x+y,-x,z'
'x-y,x,-z'
loop_
_atom_site_label
_atom_site_type_symbol
_atom_site_fract_x
_atom_site_fract_y
_atom_site_fract_z
_atom_site_occupancy
Pm1 Pm 0.0000 0.0000 0.0000 1
Ag1 Ag 0.3333 0.6667 0.4040 1
C1 C 0.3333 0.6667 0.8204 1
O1 O 0.0706 0.4105 0.8213 1
```

Most intense lines, 2θ = 10–90°, in order of rising 2θ:
| two_theta | intensity |
| --- | --- |
| 23.42 | 100 |
| 30.61 | 57 |
| 35.91 | 37 |
| 40.04 | 26 |
| 43.32 | 25 |
| 57.49 | 21 |

=====

No. 5
Computed X-ray diffraction stick pattern of Pm3AgC4O12 for Cu Kα X-rays, from DFT lattice parameters and positions (PBE).
Kinematic intensities with the Lorentz-polarization factor, no thermal factor.

Cell and atoms:
```
data_Pm3AgC4O12
_cell_length_a 10.1110
_cell_length_b 10.1110
_cell_length_c 10.0905
_cell_angle_alpha 90.00
_cell_angle_beta 90.00
_cell_angle_gamma 120.00
_symmetry_space_group_name_H-M 'R 3 2'
_symmetry_Int_Tables_number 155
_symmetry_space_group_name_Hall 'R 3 2"'
loop_
_atom_site_label
_atom_site_type_symbol
_atom_site_fract_x
_atom_site_fract_y
_atom_site_fract_z
_atom_site_occupancy
Pm1 Pm 0.0000 0.5290 0.0000 1
Ag1 Ag 0.0000 0.0000 0.0000 1
C1 C 0.0000 0.0000 0.5000 1
C2 C 0.0000 0.4860 0.5000 1
O1 O 0.0000 0.6166 0.5000 1
O2 O 0.0000 0.8718 0.5000 1
O3 O 0.0502 0.2465 0.7500 1
```

Most intense lines, 2θ = 10–90°, in order of rising 2θ:
| two_theta | intensity |
| --- | --- |
| 22.13 | 62 |
| 26.96 | 100 |
| 35.51 | 28 |
| 41.29 | 36 |
| 42.24 | 16 |
| 44.85 | 28 |

=====

No. 6
Computed X-ray diffraction stick pattern of AgPtCO5 for Cu Kα X-rays, from DFT lattice parameters and positions (PBE).
Kinematic intensities with the Lorentz-polarization factor, no thermal factor.

Cell and atoms:
```
data_AgPtCO5
_cell_length_a 6.791
_cell_length_b 8.316
_cell_length_c 7.080
_cell_angle_alpha 90.00
_cell_angle_beta 118.53
_cell_angle_gamma 90.00
_symmetry_space_group_name_H-M 'C 1 2/c 1'
_symmetry_Int_Tables_number 15
loop_
_symmetry_equiv_pos_as_xyz
'x,y,z'
'-x,-y,-z'
'-x,y,-z+1/2'
'x,-y,z+1/2'
'x+1/2,y+1/2,z'
'-x+1/2,-y+1/2,-z'
'-x+1/2,y+1/2,-z+1/2'
'x+1/2,-y+1/2,z+1/2'
loop_
_atom_site_label
_atom_site_type_symbol
_atom_site_fract_x
_atom_site_fract_y
_atom_site_fract_z
_atom_site_occupancy
Ag1 Ag 0.000 0.104 0.250 1
Pt1 Pt 0.250 0.250 0.000 1
C1 C 0.000 0.445 0.250 1
O1 O 0.000 0.148 0.750 1
O2 O 0.013 0.331 0.095 1
O3 O 0.197 0.473 0.852 1
```

Most intense lines, 2θ = 10–90°, in order of rising 2θ:
| two_theta | intensity |
| --- | --- |
| 18.32 | 61 |
| 27.37 | 100 |
| 30.01 | 56 |
| 35.73 | 53 |
| 36.06 | 36 |
| 41.99 | 35 |

=====

No. 7
Computed X-ray diffraction stick pattern of TmAgC2O8 for Cu Kα X-rays, from DFT lattice parameters and positions (PBE).
Kinematic intensities with the Lorentz-polarization factor, no thermal factor.

Cell and atoms:
```
data_TmAgC2O8
_cell_length_a 5.1670
_cell_length_b 5.1670
_cell_length_c 6.6720
_cell_angle_alpha 90.00
_cell_angle_beta 90.00
_cell_angle_gamma 120.00
_symmetry_space_group_name_H-M 'P -3 m 1'
_symmetry_Int_Tables_number 164
_symmetry_space_group_name_Hall '-P 3 2"'
loop_
_atom_site_label
_atom_site_type_symbol
_atom_site_fract_x
_atom_site_fract_y
_atom_site_fract_z
_atom_site_occupancy
Tm1 Tm 0.0000 0.0000 0.0000 1
Ag1 Ag 0.0000 0.0000 0.5000 1
C1 C 0.3333 0.6667 0.7243 1
O1 O 0.1875 0.3750 0.7886 1
O2 O 0.3333 0.6667 0.5180 1
```

Most intense lines, 2θ = 10–90°, in order of rising 2θ:
| two_theta | intensity |
| --- | --- |
| 19.84 | 100 |
| 23.94 | 20 |
| 33.51 | 64 |
| 34.72 | 37 |
| 44.35 | 39 |
| 49.02 | 29 |

=====

No. 8
Computed X-ray diffraction stick pattern of YAgCO4 for Cu Kα X-rays, from DFT lattice parameters and positions (PBE).
Kinematic intensities with the Lorentz-polarization factor, no thermal factor.

Cell and atoms:
```
data_YAgCO4
_cell_length_a 5.551
_cell_length_b 7.338
_cell_length_c 8.084
_cell_angle_alpha 90.00
_cell_angle_beta 90.00
_cell_angle_gamma 90.00
_symmetry_space_group_name_H-M 'I m m a'
_symmetry_Int_Tables_number 74
_symmetry_space_group_name_Hall '-I 2b 2'
loop_
_atom_site_label
_atom_site_type_symbol
_atom_site_fract_x
_atom_site_fract_y
_atom_site_fract_z
_atom_site_occupancy
Y1 Y 0.000 0.000 0.000 1
Ag1 Ag 0.250 0.250 0.250 1
C1 C 0.000 0.250 0.636 1
O1 O 0.000 0.094 0.711 1
O2 O 0.235 0.250 0.508 1
```

Most intense lines, 2θ = 10–90°, in order of rising 2θ:
| two_theta | intensity |
| --- | --- |
| 16.31 | 100 |
| 31.25 | 61 |
| 32.97 | 70 |
| 36.35 | 78 |
| 40.76 | 84 |
| 44.83 | 53 |

=====

No. 9
Computed X-ray diffraction stick pattern of Pa2AgC2S2 for Cu Kα X-rays, from DFT lattice parameters and positions (PBE).
Kinematic intensities with the Lorentz-polarization factor, no thermal factor.

Cell and atoms:
```
data_Pa2AgC2S2
_cell_length_a 3.9384
_cell_length_b 3.9384
_cell_length_c 11.0503
_cell_angle_alpha 90.00
_cell_angle_beta 90.00
_cell_angle_gamma 120.00
_symmetry_space_group_name_H-M 'P -3 m 1'
_symmetry_Int_Tables_number 164
_symmetry_space_group_name_Hall '-P 3 2"'
loop_
_atom_site_label
_atom_site_type_symbol
_atom_site_fract_x
_atom_site_fract_y
_atom_site_fract_z
_atom_site_occupancy
Pa1 Pa 0.3333 0.6667 0.1359 1
Ag1 Ag 0.0000 0.0000 0.5000 1
C1 C 0.3333 0.6667 0.9248 1
S1 S 0.0000 0.0000 0.2864 1
```

Most intense lines, 2θ = 10–90°, in order of rising 2θ:
| two_theta | intensity |
| --- | --- |
| 24.16 | 27 |
| 27.37 | 100 |
| 30.81 | 65 |
| 42.09 | 30 |
| 46.09 | 31 |
| 52.71 | 21 |

=====

No. 10
Computed X-ray diffraction stick pattern of Pr6Ag2C for Cu Kα X-rays, from DFT lattice parameters and positions (PBE).
Kinematic intensities with the Lorentz-polarization factor, no thermal factor.

Cell and atoms:
```
data_Pr6Ag2C
_cell_length_a 6.846
_cell_length_b 7.494
_cell_length_c 12.395
_cell_angle_alpha 90.00
_cell_angle_beta 122.78
_cell_angle_gamma 90.00
_symmetry_space_group_name_H-M 'P 1 21/c 1'
_symmetry_Int_Tables_number 14
loop_
_symmetry_equiv_pos_as_xyz
'x,y,z'
'-x,-y,-z'
'-x,y+1/2,-z+1/2'
'x,-y+1/2,z+1/2'
loop_
_atom_site_label
_atom_site_type_symbol
_atom_site_fract_x
_atom_site_fract_y
_atom_site_fract_z
_atom_site_occupancy
Pr1 Pr 0.128 0.024 0.238 1
Pr2 Pr 0.221 0.702 0.047 1
Pr3 Pr 0.359 0.181 0.050 1
Ag1 Ag 0.301 0.087 0.748 1
C1 C 0.000 0.000 0.000 1
```

Most intense lines, 2θ = 10–90°, in order of rising 2θ:
| two_theta | intensity |
| --- | --- |
| 28.67 | 59 |
| 29.36 | 100 |
| 29.85 | 33 |
| 30.05 | 40 |
| 31.09 | 40 |
| 31.43 | 41 |

=====

No. 11
Computed X-ray diffraction stick pattern of Pr2AgRuC for Cu Kα X-rays, from DFT lattice parameters and positions (PBE).
Kinematic intensities with the Lorentz-polarization factor, no thermal factor.

Cell and atoms:
```
data_Pr2AgRuC
_cell_length_a 5.292
_cell_length_b 5.292
_cell_length_c 3.917
_cell_angle_alpha 90.00
_cell_angle_beta 90.00
_cell_angle_gamma 90.00
_symmetry_space_group_name_H-M 'P 4/m m m'
_symmetry_Int_Tables_number 123
_symmetry_space_group_name_Hall '-P 4 2'
loop_
_atom_site_label
_atom_site_type_symbol
_atom_site_fract_x
_atom_site_fract_y
_atom_site_fract_z
_atom_site_occupancy
Pr1 Pr 0.000 0.500 0.000 1
Ag1 Ag 0.000 0.000 0.500 1
Ru1 Ru 0.500 0.500 0.500 1
C1 C 0.500 0.500 0.000 1
```

Most intense lines, 2θ = 10–90°, in order of rising 2θ:
| two_theta | intensity |
| --- | --- |
| 33.11 | 100 |
| 33.88 | 51 |
| 48.67 | 18 |
| 58.65 | 20 |
| 60.13 | 35 |
| 69.48 | 12 |

=====

No. 12
Computed X-ray diffraction stick pattern of RbReAgC2 for Cu Kα X-rays, from DFT lattice parameters and positions (PBE).
Kinematic intensities with the Lorentz-polarization factor, no thermal factor.

Cell and atoms:
```
data_RbReAgC2
_cell_length_a 4.211
_cell_length_b 4.211
_cell_length_c 5.383
_cell_angle_alpha 90.00
_cell_angle_beta 90.00
_cell_angle_gamma 90.00
_symmetry_space_group_name_H-M 'P 4/m m m'
_symmetry_Int_Tables_number 123
_symmetry_space_group_name_Hall '-P 4 2'
loop_
_atom_site_label
_atom_site_type_symbol
_atom_site_fract_x
_atom_site_fract_y
_atom_site_fract_z
_atom_site_occupancy
Rb1 Rb 0.000 0.000 0.000 1
Re1 Re 0.500 0.500 0.000 1
Ag1 Ag 0.000 0.000 0.500 1
C1 C 0.000 0.500 0.500 1
```

Most intense lines, 2θ = 10–90°, in order of rising 2θ:
| two_theta | intensity |
| --- | --- |
| 26.88 | 89 |
| 30.01 | 100 |
| 33.29 | 48 |
| 42.96 | 46 |
| 45.42 | 65 |
| 55.40 | 43 |